NaPdSO4F: theoretical powder diffractogram (Cu Ka), based on a DFT-relaxed cell (GGA-PBE, OQMD).

Top 10 peaks for 2θ = 10–90°, low angle first:
- (1 1 0), 2θ = 18.0°, I 81
- (0 2 0), 2θ = 19.3°, I 44
- (1 1 -2), 2θ = 27.6°, I 100
- (2 0 0), 2θ = 30.7°, I 61
- (1 3 0), 2θ = 33.1°, I 80
- (0 2 2), 2θ = 34.8°, I 68
- (3 1 -2), 2θ = 43.7°, I 29
- (0 4 2), 2θ = 49.3°, I 25
- (2 4 -2), 2θ = 51.1°, I 30
- (3 3 0), 2θ = 56.1°, I 20

Crystal structure
```
data_NaPdSO4F
_chemical_formula_sum 'Na4 Pd4 S4 O16 F4'
_symmetry_space_group_name_H-M 'C 1 2/c 1'
_symmetry_Int_Tables_number 15
_symmetry_space_group_name_Hall '-C 2yc'
_cell_length_a 6.5026
_cell_length_b 9.1812
_cell_length_c 6.9448
_cell_angle_alpha 90.00
_cell_angle_beta 116.28
_cell_angle_gamma 90.00
loop_
_atom_site_label
_atom_site_type_symbol
_atom_site_fract_x
_atom_site_fract_y
_atom_site_fract_z
Na1 Na 0.0000 0.1667 0.2500
Pd1 Pd 0.0000 0.5000 0.0000
S1 S 0.0000 0.1530 0.7500
O1 O 0.1187 0.2377 0.6527
O2 O 0.1657 0.0531 0.9253
F1 F 0.0000 0.3989 0.2500
```

RbHfCuTeSe2: theoretical powder diffractogram (Cu Ka), based on a DFT-relaxed cell (GGA-PBE, OQMD).

Top 10 peaks for 2θ = 10–90°, low angle first:
- (0 2 0), 2θ = 10.9°, I 100
- (0 2 2), 2θ = 20.0°, I 18
- (0 2 3), 2θ = 27.6°, I 15
- (1 3 1), 2θ = 29.3°, I 52
- (1 3 2), 2θ = 32.8°, I 43
- (0 0 4), 2θ = 33.8°, I 24
- (1 5 2), 2θ = 39.8°, I 41
- (2 0 0), 2θ = 46.0°, I 17
- (1 7 2), 2θ = 48.8°, I 21
- (1 3 5), 2θ = 51.8°, I 19

Crystal structure
```
data_RbHfCuTeSe2
_chemical_formula_sum 'Rb4 Hf4 Cu4 Te4 Se8'
_symmetry_space_group_name_H-M 'C m c m'
_symmetry_Int_Tables_number 63
_symmetry_space_group_name_Hall '-C 2c 2'
_cell_length_a 3.9452
_cell_length_b 16.1952
_cell_length_c 10.5969
_cell_angle_alpha 90.00
_cell_angle_beta 90.00
_cell_angle_gamma 90.00
loop_
_atom_site_label
_atom_site_type_symbol
_atom_site_fract_x
_atom_site_fract_y
_atom_site_fract_z
Rb1 Rb 0.0000 0.2333 0.2500
Hf1 Hf 0.0000 0.0000 0.0000
Cu1 Cu 0.0000 0.4728 0.7500
Te1 Te 0.0000 0.0779 0.7500
Se1 Se 0.0000 0.3915 0.5579
```

Nd2Y2CBr5: theoretical powder diffractogram (Cu Ka), based on a DFT-relaxed cell (GGA-PBE, OQMD).

Top 10 peaks for 2θ = 10–90°, low angle first:
- (0 0 1), 2θ = 11.1°, I 35
- (3 1 -1), 2θ = 28.5°, I 23
- (6 0 0), 2θ = 30.6°, I 48
- (3 1 1), 2θ = 31.3°, I 28
- (1 1 -2), 2θ = 31.8°, I 100
- (4 0 -3), 2θ = 35.1°, I 17
- (2 0 3), 2θ = 37.5°, I 16
- (7 1 -2), 2θ = 44.6°, I 28
- (5 1 2), 2θ = 44.8°, I 31
- (0 2 0), 2θ = 47.1°, I 19

Crystal structure
```
data_Nd2Y2CBr5
_chemical_formula_sum 'Nd4 Y4 C2 Br10'
_symmetry_space_group_name_H-M 'C 1 2/m 1'
_symmetry_Int_Tables_number 12
_symmetry_space_group_name_Hall '-C 2y'
_cell_length_a 18.0394
_cell_length_b 3.8563
_cell_length_c 8.2145
_cell_angle_alpha 90.00
_cell_angle_beta 103.54
_cell_angle_gamma 90.00
loop_
_atom_site_label
_atom_site_type_symbol
_atom_site_fract_x
_atom_site_fract_y
_atom_site_fract_z
Nd1 Nd 0.1435 0.0000 0.0762
Y1 Y 0.9995 0.5000 0.2005
C1 C 0.0000 0.0000 0.0000
Br1 Br 0.0000 0.0000 0.5000
Br2 Br 0.1611 0.5000 0.3543
Br3 Br 0.1664 0.5000 0.8127
```

Nb2PdSe2S4: theoretical powder diffractogram (Cu Ka), based on a DFT-relaxed cell (GGA-PBE, OQMD).

Top 10 peaks for 2θ = 10–90°, low angle first:
- (2 0 -1), 2θ = 13.6°, I 100
- (4 0 -3), 2θ = 30.5°, I 9
- (1 1 1), 2θ = 31.0°, I 25
- (2 0 -4), 2θ = 34.0°, I 12
- (3 1 0), 2θ = 35.9°, I 41
- (4 0 1), 2θ = 37.2°, I 13
- (1 1 -3), 2θ = 37.8°, I 17
- (3 1 -4), 2θ = 44.0°, I 20
- (5 1 -1), 2θ = 45.1°, I 17
- (6 0 0), 2θ = 47.6°, I 10

Crystal structure
```
data_Nb2PdSe2S4
_chemical_formula_sum 'Nb4 Pd2 Se4 S8'
_symmetry_space_group_name_H-M 'C 1 2/m 1'
_symmetry_Int_Tables_number 12
_symmetry_space_group_name_Hall '-C 2y'
_cell_length_a 13.1463
_cell_length_b 3.3054
_cell_length_c 10.6060
_cell_angle_alpha 90.00
_cell_angle_beta 119.40
_cell_angle_gamma 90.00
loop_
_atom_site_label
_atom_site_type_symbol
_atom_site_fract_x
_atom_site_fract_y
_atom_site_fract_z
Nb1 Nb 0.1742 0.0000 0.2837
Pd1 Pd 0.0000 0.5000 0.0000
Se1 Se 0.1598 0.0000 0.5344
S1 S 0.0156 0.5000 0.2317
S2 S 0.2055 0.5000 0.1309
```